(1)
# Hg2C
Simulated powder XRD pattern, copper Kα. Input: a GGA-PBE-relaxed structure.

Most intense lines, 2θ = 10–80°, low angle first:
d (Å), two_theta, intensity
3.937, 22.59, 96
3.063, 29.16, 50
2.965, 30.14, 36
2.417, 37.19, 49
2.336, 38.54, 100
2.172, 41.58, 40
1.789, 51.04, 38
1.588, 58.08, 31

Atomic structure:
```
data_Hg2C
_space_group_name_H-M_alt 'P 1'
_space_group_IT_number 1
_cell_length_a 23.6206
_cell_length_b 6.1257
_cell_length_c 2.6679
_cell_angle_alpha 90.00
_cell_angle_beta 90.00
_cell_angle_gamma 90.00
loop_
_space_group_symop_operation_xyz
'x,y,z'
loop_
_atom_site_label
_atom_site_type_symbol
_atom_site_fract_x
_atom_site_fract_y
_atom_site_fract_z
_atom_site_occupancy
Hg1 Hg 0.1744 0.2501 0.2500 1
Hg2 Hg 0.1744 0.7499 0.7500 1
Hg3 Hg 0.3256 0.2499 0.7500 1
Hg4 Hg 0.3256 0.7501 0.2500 1
Hg5 Hg 0.6744 0.2499 0.7500 1
Hg6 Hg 0.6744 0.7501 0.2500 1
Hg7 Hg 0.8256 0.2501 0.2500 1
Hg8 Hg 0.8256 0.7499 0.7500 1
C1 C 0.0000 0.0000 0.2500 1
C2 C 0.0000 0.0000 0.7500 1
C3 C 0.5000 0.5000 0.2500 1
C4 C 0.5000 0.5000 0.7500 1
```

***

(2)
# Sr2LiZn16
Simulated powder XRD pattern, copper Kα. Input: a GGA-PBE-relaxed structure.

Most intense lines, 2θ = 10–80°, low angle first:
d (Å), two_theta, intensity
2.663, 33.66, 22
2.568, 34.94, 23
2.306, 39.06, 56
2.288, 39.39, 100
2.236, 40.34, 43
2.049, 44.19, 65
1.605, 57.41, 20
1.301, 72.71, 17

Atomic structure:
```
data_Sr2LiZn16
_space_group_name_H-M_alt 'P 1'
_space_group_IT_number 1
_cell_length_a 6.9534
_cell_length_b 6.9534
_cell_length_c 6.9534
_cell_angle_alpha 83.09
_cell_angle_beta 83.09
_cell_angle_gamma 83.09
loop_
_space_group_symop_operation_xyz
'x,y,z'
loop_
_atom_site_label
_atom_site_type_symbol
_atom_site_fract_x
_atom_site_fract_y
_atom_site_fract_z
_atom_site_occupancy
Sr1 Sr 0.0000 0.0000 0.0000 1
Sr2 Sr 0.3188 0.3188 0.3188 1
Li1 Li 0.7541 0.7541 0.7541 1
Zn1 Zn 0.0070 0.0070 0.5050 1
Zn2 Zn 0.0070 0.5050 0.0070 1
Zn3 Zn 0.1597 0.6604 0.6604 1
Zn4 Zn 0.3129 0.3129 0.8173 1
Zn5 Zn 0.3129 0.8173 0.3129 1
Zn6 Zn 0.3726 0.6609 0.9487 1
Zn7 Zn 0.3726 0.9487 0.6609 1
Zn8 Zn 0.5050 0.0070 0.0070 1
Zn9 Zn 0.5558 0.5558 0.5558 1
Zn10 Zn 0.6604 0.1597 0.6604 1
Zn11 Zn 0.6604 0.6604 0.1597 1
Zn12 Zn 0.6609 0.3726 0.9487 1
Zn13 Zn 0.6609 0.9487 0.3726 1
Zn14 Zn 0.8173 0.3129 0.3129 1
Zn15 Zn 0.9487 0.3726 0.6609 1
Zn16 Zn 0.9487 0.6609 0.3726 1
```

***

(3)
# K4Mn5
Simulated powder XRD pattern, copper Kα. Input: a GGA-PBE-relaxed structure.

Most intense lines, 2θ = 10–80°, low angle first:
d (Å), two_theta, intensity
8.560, 10.33, 14
2.882, 31.03, 34
2.853, 31.35, 94
2.668, 33.59, 100
2.223, 40.58, 28
1.949, 46.61, 21
1.609, 57.25, 25
1.385, 67.63, 16

Atomic structure:
```
data_K4Mn5
_space_group_name_H-M_alt 'P 1'
_space_group_IT_number 1
_cell_length_a 9.8845
_cell_length_b 9.8845
_cell_length_c 6.3386
_cell_angle_alpha 90.00
_cell_angle_beta 90.00
_cell_angle_gamma 120.00
loop_
_space_group_symop_operation_xyz
'x,y,z'
loop_
_atom_site_label
_atom_site_type_symbol
_atom_site_fract_x
_atom_site_fract_y
_atom_site_fract_z
_atom_site_occupancy
K1 K 0.0000 0.0000 0.0000 1
K2 K 0.0000 0.0000 0.5000 1
K3 K 0.0000 0.3067 0.2500 1
K4 K 0.0000 0.6933 0.7500 1
K5 K 0.3067 0.0000 0.2500 1
K6 K 0.3067 0.3067 0.7500 1
K7 K 0.6933 0.0000 0.7500 1
K8 K 0.6933 0.6933 0.2500 1
Mn1 Mn 0.0000 0.4002 0.7500 1
Mn2 Mn 0.0000 0.5998 0.2500 1
Mn3 Mn 0.3333 0.6667 0.0000 1
Mn4 Mn 0.3333 0.6667 0.5000 1
Mn5 Mn 0.4002 0.0000 0.7500 1
Mn6 Mn 0.4002 0.4002 0.2500 1
Mn7 Mn 0.5998 0.0000 0.2500 1
Mn8 Mn 0.5998 0.5998 0.7500 1
Mn9 Mn 0.6667 0.3333 0.0000 1
Mn10 Mn 0.6667 0.3333 0.5000 1
```

***

(4)
# Ce3Th4Sc
Simulated powder XRD pattern, copper Kα. Input: a GGA-PBE-relaxed structure.

Most intense lines, 2θ = 10–80°, low angle first:
d (Å), two_theta, intensity
2.906, 30.77, 42
2.875, 31.10, 26
2.852, 31.36, 52
2.659, 33.71, 100
2.635, 34.02, 36
2.358, 38.17, 24
1.722, 53.19, 23
1.474, 63.07, 29

Atomic structure:
```
data_Ce3Th4Sc
_space_group_name_H-M_alt 'P 1'
_space_group_IT_number 1
_cell_length_a 11.4091
_cell_length_b 6.9669
_cell_length_c 5.9424
_cell_angle_alpha 90.00
_cell_angle_beta 90.00
_cell_angle_gamma 90.00
loop_
_space_group_symop_operation_xyz
'x,y,z'
loop_
_atom_site_label
_atom_site_type_symbol
_atom_site_fract_x
_atom_site_fract_y
_atom_site_fract_z
_atom_site_occupancy
Ce1 Ce 0.0000 0.0000 0.0000 1
Ce2 Ce 0.2500 0.0000 0.3416 1
Ce3 Ce 0.2500 0.5000 0.3371 1
Ce4 Ce 0.5000 0.0000 0.0000 1
Ce5 Ce 0.7500 0.0000 0.6584 1
Ce6 Ce 0.7500 0.5000 0.6629 1
Th1 Th 0.0000 0.2539 0.5000 1
Th2 Th 0.0000 0.7461 0.5000 1
Th3 Th 0.2500 0.2550 0.8490 1
Th4 Th 0.2500 0.7450 0.8490 1
Th5 Th 0.5000 0.2539 0.5000 1
Th6 Th 0.5000 0.7461 0.5000 1
Th7 Th 0.7500 0.2550 0.1510 1
Th8 Th 0.7500 0.7450 0.1510 1
Sc1 Sc 0.0000 0.5000 0.0000 1
Sc2 Sc 0.5000 0.5000 0.0000 1
```

***

(5)
# SrMgW
Simulated powder XRD pattern, copper Kα. Input: a GGA-PBE-relaxed structure.

Most intense lines, 2θ = 10–80°, low angle first:
d (Å), two_theta, intensity
7.908, 11.19, 84
3.954, 22.49, 16
2.884, 31.01, 29
2.636, 34.01, 25
2.563, 35.00, 100
2.151, 42.01, 17
2.144, 42.14, 15
1.508, 61.51, 17

Atomic structure:
```
data_SrMgW
_space_group_name_H-M_alt 'P 1'
_space_group_IT_number 1
_cell_length_a 4.0213
_cell_length_b 4.2887
_cell_length_c 15.8163
_cell_angle_alpha 90.00
_cell_angle_beta 90.00
_cell_angle_gamma 90.00
loop_
_space_group_symop_operation_xyz
'x,y,z'
loop_
_atom_site_label
_atom_site_type_symbol
_atom_site_fract_x
_atom_site_fract_y
_atom_site_fract_z
_atom_site_occupancy
Sr1 Sr 0.0000 0.0000 0.0000 1
Sr2 Sr 0.0000 0.5000 0.5000 1
Sr3 Sr 0.5000 0.0000 0.5000 1
Sr4 Sr 0.5000 0.5000 0.0000 1
Mg1 Mg 0.0000 0.0000 0.6956 1
Mg2 Mg 0.0000 0.5000 0.1956 1
Mg3 Mg 0.5000 0.0000 0.1956 1
Mg4 Mg 0.5000 0.5000 0.6956 1
W1 W 0.0000 0.0000 0.3324 1
W2 W 0.0000 0.5000 0.8324 1
W3 W 0.5000 0.0000 0.8324 1
W4 W 0.5000 0.5000 0.3324 1
```

***

(6)
# Np3Ga2Au4
Simulated powder XRD pattern, copper Kα. Input: a GGA-PBE-relaxed structure.

Most intense lines, 2θ = 10–80°, low angle first:
d (Å), two_theta, intensity
2.455, 36.61, 35
2.447, 36.73, 70
2.392, 37.61, 100
1.712, 53.51, 24
1.709, 53.63, 13
1.405, 66.56, 13
1.402, 66.72, 25
1.246, 76.41, 26

Atomic structure:
```
data_Np3Ga2Au4
_space_group_name_H-M_alt 'P 1'
_space_group_IT_number 1
_cell_length_a 8.4942
_cell_length_b 8.4942
_cell_length_c 5.7917
_cell_angle_alpha 90.00
_cell_angle_beta 90.00
_cell_angle_gamma 120.20
loop_
_space_group_symop_operation_xyz
'x,y,z'
loop_
_atom_site_label
_atom_site_type_symbol
_atom_site_fract_x
_atom_site_fract_y
_atom_site_fract_z
_atom_site_occupancy
Np1 Np 0.0000 0.0000 0.2500 1
Np2 Np 0.0000 0.0000 0.7500 1
Np3 Np 0.3344 0.6656 0.2500 1
Np4 Np 0.3344 0.6656 0.7500 1
Np5 Np 0.6656 0.3344 0.2500 1
Np6 Np 0.6656 0.3344 0.7500 1
Ga1 Ga 0.0000 0.3366 0.0000 1
Ga2 Ga 0.0000 0.6634 0.0000 1
Ga3 Ga 0.3366 0.0000 0.5000 1
Ga4 Ga 0.6634 0.0000 0.5000 1
Au1 Au 0.0061 0.6726 0.5000 1
Au2 Au 0.3265 0.3342 0.0000 1
Au3 Au 0.3274 0.9939 0.0000 1
Au4 Au 0.3342 0.3265 0.5000 1
Au5 Au 0.6658 0.6735 0.5000 1
Au6 Au 0.6726 0.0061 0.0000 1
Au7 Au 0.6735 0.6658 0.0000 1
Au8 Au 0.9939 0.3274 0.5000 1
```

***

(7)
# PmLuPuCd
Simulated powder XRD pattern, copper Kα. Input: a GGA-PBE-relaxed structure.

Most intense lines, 2θ = 10–80°, low angle first:
d (Å), two_theta, intensity
4.420, 20.09, 7
2.707, 33.10, 100
2.308, 39.02, 4
1.914, 47.51, 18
1.756, 52.08, 2
1.563, 59.12, 38
1.353, 69.46, 12
1.210, 79.13, 17

Atomic structure:
```
data_PmLuPuCd
_space_group_name_H-M_alt 'P 1'
_space_group_IT_number 1
_cell_length_a 7.6552
_cell_length_b 7.6552
_cell_length_c 7.6552
_cell_angle_alpha 90.00
_cell_angle_beta 90.00
_cell_angle_gamma 90.00
loop_
_space_group_symop_operation_xyz
'x,y,z'
loop_
_atom_site_label
_atom_site_type_symbol
_atom_site_fract_x
_atom_site_fract_y
_atom_site_fract_z
_atom_site_occupancy
Pm1 Pm 0.0000 0.0000 0.0000 1
Pm2 Pm 0.0000 0.5000 0.5000 1
Pm3 Pm 0.5000 0.0000 0.5000 1
Pm4 Pm 0.5000 0.5000 0.0000 1
Lu1 Lu 0.0000 0.0000 0.5000 1
Lu2 Lu 0.0000 0.5000 0.0000 1
Lu3 Lu 0.5000 0.0000 0.0000 1
Lu4 Lu 0.5000 0.5000 0.5000 1
Pu1 Pu 0.2500 0.2500 0.2500 1
Pu2 Pu 0.2500 0.7500 0.7500 1
Pu3 Pu 0.7500 0.2500 0.7500 1
Pu4 Pu 0.7500 0.7500 0.2500 1
Cd1 Cd 0.2500 0.2500 0.7500 1
Cd2 Cd 0.2500 0.7500 0.2500 1
Cd3 Cd 0.7500 0.2500 0.2500 1
Cd4 Cd 0.7500 0.7500 0.7500 1
```

***

(8)
# Tm3AgSb
Simulated powder XRD pattern, copper Kα. Input: a GGA-PBE-relaxed structure.

Most intense lines, 2θ = 10–80°, low angle first:
d (Å), two_theta, intensity
3.326, 26.80, 35
3.146, 28.37, 42
2.638, 33.98, 88
2.601, 34.48, 36
2.577, 34.81, 100
2.536, 35.40, 66
2.512, 35.74, 93
1.828, 49.88, 50

Atomic structure:
```
data_Tm3AgSb
_space_group_name_H-M_alt 'P 1'
_space_group_IT_number 1
_cell_length_a 6.2922
_cell_length_b 5.2768
_cell_length_c 8.5691
_cell_angle_alpha 90.00
_cell_angle_beta 90.00
_cell_angle_gamma 90.00
loop_
_space_group_symop_operation_xyz
'x,y,z'
loop_
_atom_site_label
_atom_site_type_symbol
_atom_site_fract_x
_atom_site_fract_y
_atom_site_fract_z
_atom_site_occupancy
Tm1 Tm 0.0000 0.0000 0.0000 1
Tm2 Tm 0.2500 0.0000 0.3575 1
Tm3 Tm 0.2500 0.5000 0.7635 1
Tm4 Tm 0.5000 0.0000 0.0000 1
Tm5 Tm 0.7500 0.0000 0.6425 1
Tm6 Tm 0.7500 0.5000 0.2364 1
Ag1 Ag 0.2500 0.0000 0.6892 1
Ag2 Ag 0.7500 0.0000 0.3108 1
Sb1 Sb 0.2500 0.5000 0.1418 1
Sb2 Sb 0.7500 0.5000 0.8582 1
```

***

(9)
# Rb2Er2USe6
Simulated powder XRD pattern, copper Kα. Input: a GGA-PBE-relaxed structure.

Most intense lines, 2θ = 10–80°, low angle first:
d (Å), two_theta, intensity
8.196, 10.79, 100
3.112, 28.69, 45
3.105, 28.75, 92
2.514, 35.71, 33
2.338, 38.51, 47
2.079, 43.53, 48
1.728, 52.99, 25
1.329, 70.92, 21

Atomic structure:
```
data_Rb2Er2USe6
_space_group_name_H-M_alt 'P 1'
_space_group_IT_number 1
_cell_length_a 7.2014
_cell_length_b 7.2014
_cell_length_c 8.5474
_cell_angle_alpha 98.16
_cell_angle_beta 98.16
_cell_angle_gamma 119.98
loop_
_space_group_symop_operation_xyz
'x,y,z'
loop_
_atom_site_label
_atom_site_type_symbol
_atom_site_fract_x
_atom_site_fract_y
_atom_site_fract_z
_atom_site_occupancy
Rb1 Rb 0.1677 0.8323 0.0000 1
Rb2 Rb 0.8323 0.1677 0.0000 1
Er1 Er 0.3332 0.6668 0.5000 1
Er2 Er 0.6668 0.3332 0.5000 1
U1 U 0.0000 0.0000 0.5000 1
Se1 Se 0.0641 0.3960 0.6905 1
Se2 Se 0.2678 0.2678 0.3100 1
Se3 Se 0.3960 0.0641 0.6905 1
Se4 Se 0.6040 0.9359 0.3095 1
Se5 Se 0.7322 0.7322 0.6900 1
Se6 Se 0.9359 0.6040 0.3095 1
```

***

(10)
# PaAlCo
Simulated powder XRD pattern, copper Kα. Input: a GGA-PBE-relaxed structure.

Most intense lines, 2θ = 10–80°, low angle first:
d (Å), two_theta, intensity
4.861, 18.25, 45
3.073, 29.06, 100
2.627, 34.13, 35
2.545, 35.26, 46
2.311, 38.97, 28
2.291, 39.33, 58
2.206, 40.91, 38
2.056, 44.03, 25

Atomic structure:
```
data_PaAlCo
_space_group_name_H-M_alt 'P 1'
_space_group_IT_number 1
_cell_length_a 4.1129
_cell_length_b 9.7216
_cell_length_c 5.2547
_cell_angle_alpha 90.00
_cell_angle_beta 90.00
_cell_angle_gamma 90.00
loop_
_space_group_symop_operation_xyz
'x,y,z'
loop_
_atom_site_label
_atom_site_type_symbol
_atom_site_fract_x
_atom_site_fract_y
_atom_site_fract_z
_atom_site_occupancy
Pa1 Pa 0.0000 0.2032 0.2500 1
Pa2 Pa 0.0000 0.7968 0.7500 1
Pa3 Pa 0.5000 0.2968 0.7500 1
Pa4 Pa 0.5000 0.7032 0.2500 1
Al1 Al 0.0000 0.5000 0.0000 1
Al2 Al 0.0000 0.5000 0.5000 1
Al3 Al 0.5000 0.0000 0.0000 1
Al4 Al 0.5000 0.0000 0.5000 1
Co1 Co 0.0000 0.0999 0.7500 1
Co2 Co 0.0000 0.9001 0.2500 1
Co3 Co 0.5000 0.4001 0.2500 1
Co4 Co 0.5000 0.5999 0.7500 1
```

***

(11)
# CeTl3Se4
Simulated powder XRD pattern, copper Kα. Input: a GGA-PBE-relaxed structure.

Most intense lines, 2θ = 10–80°, low angle first:
d (Å), two_theta, intensity
3.682, 24.17, 27
3.552, 25.07, 23
3.184, 28.03, 52
3.106, 28.74, 100
2.257, 39.95, 19
2.223, 40.58, 76
1.841, 49.51, 20
1.776, 51.45, 20

Atomic structure:
```
data_CeTl3Se4
_space_group_name_H-M_alt 'P 1'
_space_group_IT_number 1
_cell_length_a 9.0274
_cell_length_b 12.7341
_cell_length_c 4.2800
_cell_angle_alpha 90.00
_cell_angle_beta 90.00
_cell_angle_gamma 90.00
loop_
_space_group_symop_operation_xyz
'x,y,z'
loop_
_atom_site_label
_atom_site_type_symbol
_atom_site_fract_x
_atom_site_fract_y
_atom_site_fract_z
_atom_site_occupancy
Ce1 Ce 0.0000 0.0000 0.0000 1
Ce2 Ce 0.5000 0.5000 0.0000 1
Tl1 Tl 0.0000 0.5000 0.0000 1
Tl2 Tl 0.2500 0.2500 0.5000 1
Tl3 Tl 0.2500 0.7500 0.5000 1
Tl4 Tl 0.5000 0.0000 0.0000 1
Tl5 Tl 0.7500 0.2500 0.5000 1
Tl6 Tl 0.7500 0.7500 0.5000 1
Se1 Se 0.0000 0.2276 0.0000 1
Se2 Se 0.0000 0.7724 0.0000 1
Se3 Se 0.2149 0.0000 0.5000 1
Se4 Se 0.2851 0.5000 0.5000 1
Se5 Se 0.5000 0.2724 0.0000 1
Se6 Se 0.5000 0.7276 0.0000 1
Se7 Se 0.7149 0.5000 0.5000 1
Se8 Se 0.7851 0.0000 0.5000 1
```